# 1
Simulated powder XRD pattern
Compound: K8MgCo2Mo8O30
Radiation: copper Kα
Structure: a cell relaxed with GGA+U
Lines closer than 0.1° are merged.

Main lines, in order of rising 2θ (2θ = 10–90°):
2θ (°), Rel. int., hkl
10.4, 932, 1 0 0
19.5, 593, 1 1 2
19.6, 629, 1 1 -1
20.1, 557, -1 2 1
26.6, 936, 2 2 1
26.9, 588, 2 -1 1
27.2, 679, -2 1 2
27.4, 353, -2 2 1
28.9, 1000, 0 0 3
29.2, 560, 0 3 0
29.4, 538, 0 3 3
46.2, 299, 1 4 -1

Crystal structure
```
K8MgCo2Mo8O30
1.0
8.483 0.000 0.000
0.290 10.534 0.000
0.217 5.196 9.253
K Mg Co Mo O
8 1 2 8 30
Direct
0.000 0.000 0.000
0.002 0.791 0.483
0.035 0.460 0.291
0.160 0.093 0.599
0.284 0.189 0.172
0.301 0.410 0.670
0.305 0.692 0.899
0.655 0.095 0.601
0.692 0.632 0.276
0.624 0.911 0.238
0.625 0.442 0.916
0.009 0.441 0.905
0.286 0.746 0.248
0.504 0.413 0.258
0.512 0.776 0.566
0.514 0.092 0.923
0.788 0.159 0.247
0.791 0.759 0.908
0.792 0.412 0.614
0.094 0.278 0.920
0.101 0.580 0.748
0.102 0.452 0.047
0.181 0.748 0.104
0.194 0.607 0.405
0.204 0.906 0.249
0.337 0.319 0.369
0.358 0.884 0.582
0.377 0.107 0.791
0.467 0.615 0.239
0.468 0.925 0.097
0.487 0.765 0.396
0.496 0.460 0.061
0.497 0.256 0.939
0.507 0.596 0.724
0.593 0.188 0.304
0.600 0.826 0.843
0.604 0.346 0.613
0.696 0.859 0.550
0.710 0.076 0.872
0.710 0.427 0.310
0.809 0.426 0.780
0.809 0.592 0.454
0.812 0.732 0.090
0.815 0.586 0.904
0.817 0.307 0.065
0.818 0.993 0.233
0.936 0.883 0.795
0.939 0.152 0.363
0.943 0.297 0.605
```

---

# 2
Simulated powder XRD pattern
Compound: KMg14CoO16
Radiation: copper Kα
Structure: a cell relaxed with GGA+U
Lines closer than 0.1° are merged.

Main lines, in order of rising 2θ (2θ = 10–90°):
2θ (°), Rel. int., hkl
10.2, 61, 1 0 0
14.5, 48, 1 1 0
20.5, 57, 2 0 0
29.2, 48, 2 2 0
36.0, 248, 2 2 1
41.7, 1000, 4 0 0
41.9, 505, 0 0 2
60.5, 278, 4 4 0
60.6, 563, 4 0 2
72.4, 102, 6 2 1
72.7, 48, 2 2 3
76.3, 250, 4 4 2

Crystal structure
```
KMg14CoO16
1.0
8.657 0.000 0.000
0.000 8.657 0.000
0.000 0.000 4.313
K Mg Co O
1 14 1 16
Direct
0.000 0.000 0.000
0.000 0.258 0.500
0.000 0.500 0.000
0.000 0.742 0.500
0.250 0.250 0.000
0.250 0.750 0.000
0.251 0.500 0.500
0.258 0.000 0.500
0.500 0.000 0.000
0.500 0.251 0.500
0.500 0.749 0.500
0.742 0.000 0.500
0.749 0.500 0.500
0.750 0.250 0.000
0.750 0.750 0.000
0.500 0.500 0.000
0.000 0.000 0.500
0.000 0.275 0.000
0.000 0.500 0.500
0.000 0.725 0.000
0.251 0.251 0.500
0.251 0.749 0.500
0.260 0.500 0.000
0.275 0.000 0.000
0.500 0.000 0.500
0.500 0.260 0.000
0.500 0.500 0.500
0.500 0.740 0.000
0.725 0.000 0.000
0.740 0.500 0.000
0.749 0.251 0.500
0.749 0.749 0.500
```

---

# 3
Simulated powder XRD pattern
Compound: KMg14CoO16
Radiation: copper Kα
Structure: a cell relaxed with GGA+U
Lines closer than 0.1° are merged.

Main lines, in order of rising 2θ (2θ = 10–90°):
2θ (°), Rel. int., hkl
10.3, 175, 0 0 1
29.3, 88, 0 2 2
36.1, 452, 1 2 2
41.8, 927, 2 0 0
41.9, 900, 0 0 4
42.1, 884, 0 4 0
60.7, 512, 2 0 4
60.9, 1000, 2 4 0
72.6, 87, 3 2 2
72.8, 92, 1 2 6
73.0, 94, 1 6 2
76.6, 450, 2 4 4

Crystal structure
```
KMg14CoO16
1.0
4.321 0.000 0.000
0.000 8.586 0.000
0.000 0.000 8.622
K Mg Co O
1 14 1 16
Direct
0.000 0.000 0.000
0.000 0.000 0.500
0.000 0.250 0.251
0.000 0.250 0.749
0.000 0.500 0.500
0.000 0.750 0.251
0.000 0.750 0.749
0.500 0.000 0.256
0.500 0.000 0.744
0.500 0.250 0.500
0.500 0.255 0.000
0.500 0.500 0.247
0.500 0.500 0.753
0.500 0.745 0.000
0.500 0.750 0.500
0.000 0.500 0.000
0.000 0.000 0.274
0.000 0.000 0.726
0.000 0.259 0.500
0.000 0.279 0.000
0.000 0.500 0.240
0.000 0.500 0.760
0.000 0.721 0.000
0.000 0.741 0.500
0.500 0.000 0.000
0.500 0.000 0.500
0.500 0.251 0.249
0.500 0.251 0.751
0.500 0.500 0.000
0.500 0.500 0.500
0.500 0.749 0.249
0.500 0.749 0.751
```